For Ho5Tm4Sc, a GGA-PBE-relaxed structure gives the computed XRD peak list in this record (Cu Kα).

Atomic structure:
Cell lengths 6.1519, 6.5736, 9.0088 Å; angles 107.59, 90.02, 117.89 degrees
Sites, in units of the cell vectors:
Ho: 0.0000 0.0000 0.0000
Ho: 0.0626 0.7928 0.2957
Ho: 0.2623 0.1970 0.6970
Ho: 0.3957 0.7974 0.7978
Ho: 0.6632 0.0000 0.4939
Tm: 0.1966 0.3945 0.3942
Tm: 0.4671 0.6008 0.0985
Tm: 0.7945 0.5965 0.5962
Tm: 0.8610 0.3949 0.9000
Sc: 0.5957 0.1974 0.1969

The 6 most intense peaks (10° ≤ 2θ ≤ 80°), most intense first:
- 2θ 33.31, I = 100
- 2θ 29.00, I = 24
- 2θ 32.38, I = 24
- 2θ 58.35, I = 20
- 2θ 51.41, I = 20
- 2θ 62.07, I = 19

---

For Ho3Er4Tm8, a GGA-PBE-relaxed structure gives the computed XRD peak list in this record (Cu Kα).

Atomic structure:
Cell lengths 12.2134, 12.2134, 12.2134 Å; angles 32.39, 32.39, 32.39 degrees
Sites, in units of the cell vectors:
Ho: 0.0000 0.5000 0.5000
Ho: 0.5000 0.0000 0.5000
Ho: 0.5000 0.5000 0.0000
Er: 0.0000 0.0000 0.0000
Er: 0.1635 0.1635 0.1635
Er: 0.5000 0.5000 0.5000
Er: 0.8365 0.8365 0.8365
Tm: 0.2505 0.2505 0.7482
Tm: 0.2505 0.7482 0.2505
Tm: 0.2518 0.7495 0.7495
Tm: 0.2550 0.2550 0.2550
Tm: 0.7450 0.7450 0.7450
Tm: 0.7482 0.2505 0.2505
Tm: 0.7495 0.2518 0.7495
Tm: 0.7495 0.7495 0.2518

The 6 most intense peaks (10° ≤ 2θ ≤ 80°), most intense first:
- 2θ 32.05, I = 100
- 2θ 36.85, I = 73
- 2θ 30.94, I = 57
- 2θ 63.38, I = 44
- 2θ 53.82, I = 37
- 2θ 30.43, I = 27

---

For HoMg2In6, a GGA-PBE-relaxed structure gives the computed XRD peak list in this record (Cu Kα).

Atomic structure:
Cell lengths 4.7852, 7.1017, 7.1017 Å; angles 90.23, 90.00, 90.00 degrees
Sites, in units of the cell vectors:
Ho: 0.0000 0.0000 0.0000
Mg: 0.5000 0.3745 0.7074
Mg: 0.5000 0.7074 0.3745
In: 0.0000 0.4344 0.4344
In: 0.0000 0.4590 0.9676
In: 0.0000 0.9676 0.4590
In: 0.5000 0.2236 0.2236
In: 0.5000 0.6942 0.9770
In: 0.5000 0.9770 0.6942

The 6 most intense peaks (10° ≤ 2θ ≤ 80°), most intense first:
- 2θ 31.37, I = 100
- 2θ 33.89, I = 55
- 2θ 37.59, I = 34
- 2θ 25.08, I = 30
- 2θ 40.51, I = 26
- 2θ 65.47, I = 25

---

For ErTmFe10, a GGA-PBE-relaxed structure gives the computed XRD peak list in this record (Cu Kα).

Atomic structure:
Cell lengths 3.9441, 4.9646, 8.5640 Å; angles 90.00, 90.00, 90.00 degrees
Sites, in units of the cell vectors:
Er: 0.0000 0.0000 0.0000
Tm: 0.0000 0.5000 0.5000
Fe: 0.0000 0.0000 0.3341
Fe: 0.0000 0.0000 0.6659
Fe: 0.0000 0.5000 0.1668
Fe: 0.0000 0.5000 0.8332
Fe: 0.5000 0.0000 0.5000
Fe: 0.5000 0.2503 0.2505
Fe: 0.5000 0.2503 0.7495
Fe: 0.5000 0.5000 0.0000
Fe: 0.5000 0.7497 0.2505
Fe: 0.5000 0.7497 0.7495

The 6 most intense peaks (10° ≤ 2θ ≤ 80°), most intense first:
- 2θ 43.12, I = 100
- 2θ 30.79, I = 60
- 2θ 42.07, I = 25
- 2θ 46.02, I = 25
- 2θ 36.30, I = 24
- 2θ 59.96, I = 16

---

For InS, a GGA-PBE-relaxed structure gives the computed XRD peak list in this record (Cu Kα).

Atomic structure:
Cell lengths 3.9773, 3.9773, 7.2880 Å; angles 101.57, 101.57, 81.05 degrees
Sites, in units of the cell vectors:
In: 0.0000 0.0000 0.0000
In: 0.6374 0.3626 0.5000
S: 0.0393 0.5751 0.2188
S: 0.4249 0.9607 0.7812

The 6 most intense peaks (10° ≤ 2θ ≤ 80°), most intense first:
- 2θ 28.21, I = 100
- 2θ 24.24, I = 81
- 2θ 34.39, I = 32
- 2θ 41.41, I = 30
- 2θ 25.34, I = 29
- 2θ 31.25, I = 23

---

For Tb2Pm3Ga3, a GGA-PBE-relaxed structure gives the computed XRD peak list in this record (Cu Kα).

Atomic structure:
Cell lengths 11.4158, 11.4158, 11.4158 Å; angles 161.30, 153.47, 32.66 degrees
Sites, in units of the cell vectors:
Tb: 0.2283 0.2283 0.0000
Tb: 0.7717 0.7717 0.0000
Pm: 0.0000 0.0000 0.0000
Pm: 0.3821 0.8821 0.5000
Pm: 0.6179 0.1179 0.5000
Ga: 0.1195 0.6195 0.5000
Ga: 0.5000 0.5000 0.0000
Ga: 0.8805 0.3805 0.5000

The 6 most intense peaks (10° ≤ 2θ ≤ 80°), most intense first:
- 2θ 33.83, I = 100
- 2θ 34.23, I = 27
- 2θ 32.70, I = 20
- 2θ 61.03, I = 18
- 2θ 26.52, I = 18
- 2θ 48.06, I = 13

---

For PuUTiO6, a GGA-PBE-relaxed structure gives the computed XRD peak list in this record (Cu Kα).

Atomic structure:
Cell lengths 5.4699, 5.4699, 9.7587 Å; angles 90.00, 90.00, 120.00 degrees
Sites, in units of the cell vectors:
Pu: 0.0000 0.0000 0.0000
Pu: 0.0000 0.0000 0.5000
U: 0.3333 0.6667 0.2500
U: 0.6667 0.3333 0.7500
Ti: 0.3333 0.6667 0.7500
Ti: 0.6667 0.3333 0.2500
O: 0.0200 0.3635 0.6385
O: 0.0200 0.6565 0.8615
O: 0.3435 0.3635 0.8615
O: 0.3435 0.9800 0.6385
O: 0.3635 0.0200 0.1385
O: 0.3635 0.3435 0.3615
O: 0.6365 0.6565 0.6385
O: 0.6365 0.9800 0.8615
O: 0.6565 0.0200 0.3615
O: 0.6565 0.6365 0.1385
O: 0.9800 0.3435 0.1385
O: 0.9800 0.6365 0.3615

The 6 most intense peaks (10° ≤ 2θ ≤ 80°), most intense first:
- 2θ 26.22, I = 100
- 2θ 32.74, I = 43
- 2θ 50.10, I = 38
- 2θ 42.42, I = 28
- 2θ 54.60, I = 27
- 2θ 20.84, I = 27

---

For Nd3DyEr7, a GGA-PBE-relaxed structure gives the computed XRD peak list in this record (Cu Kα).

Atomic structure:
Cell lengths 6.9371, 5.4951, 9.9744 Å; angles 90.00, 109.44, 90.00 degrees
Sites, in units of the cell vectors:
Nd: 0.0000 0.0000 0.0000
Nd: 0.2810 0.5000 0.4960
Nd: 0.7190 0.5000 0.5040
Dy: 0.5000 0.0000 0.0000
Er: 0.0000 0.0000 0.5000
Er: 0.1487 0.5000 0.7891
Er: 0.3211 0.5000 0.1370
Er: 0.4243 0.0000 0.3294
Er: 0.5757 0.0000 0.6706
Er: 0.6789 0.5000 0.8630
Er: 0.8513 0.5000 0.2109

The 6 most intense peaks (10° ≤ 2θ ≤ 80°), most intense first:
- 2θ 31.84, I = 100
- 2θ 32.89, I = 96
- 2θ 32.59, I = 95
- 2θ 32.09, I = 84
- 2θ 31.76, I = 81
- 2θ 31.42, I = 43

---

For Ca2Cu6P5, a GGA-PBE-relaxed structure gives the computed XRD peak list in this record (Cu Kα).

Atomic structure:
Cell lengths 12.6626, 12.6626, 12.6626 Å; angles 161.76, 161.76, 25.90 degrees
Sites, in units of the cell vectors:
Ca: 0.1491 0.1491 0.0000
Ca: 0.8509 0.8509 0.0000
Cu: 0.0538 0.5538 0.5000
Cu: 0.2500 0.7500 0.5000
Cu: 0.4462 0.9462 0.5000
Cu: 0.5538 0.0538 0.5000
Cu: 0.7500 0.2500 0.5000
Cu: 0.9462 0.4462 0.5000
P: 0.0000 0.0000 0.0000
P: 0.3025 0.3025 0.0000
P: 0.3943 0.3943 0.0000
P: 0.6057 0.6057 0.0000
P: 0.6975 0.6975 0.0000

The 6 most intense peaks (10° ≤ 2θ ≤ 80°), most intense first:
- 2θ 45.18, I = 100
- 2θ 38.54, I = 89
- 2θ 48.91, I = 82
- 2θ 34.79, I = 78
- 2θ 65.81, I = 30
- 2θ 14.35, I = 29

---

For Er8PtRh2, a GGA-PBE-relaxed structure gives the computed XRD peak list in this record (Cu Kα).

Atomic structure:
Cell lengths 7.5013, 7.5013, 5.8872 Å; angles 100.23, 100.23, 113.03 degrees
Sites, in units of the cell vectors:
Er: 0.0000 0.0000 0.0000
Er: 0.0252 0.2854 0.5777
Er: 0.1453 0.5776 0.1821
Er: 0.2854 0.0252 0.5777
Er: 0.4434 0.7035 0.7750
Er: 0.5776 0.1453 0.1821
Er: 0.7035 0.4434 0.7750
Er: 0.7236 0.7236 0.3618
Pt: 0.3613 0.3613 0.3470
Rh: 0.0549 0.6765 0.6828
Rh: 0.6765 0.0549 0.6828

The 6 most intense peaks (10° ≤ 2θ ≤ 80°), most intense first:
- 2θ 32.84, I = 100
- 2θ 33.64, I = 83
- 2θ 39.63, I = 82
- 2θ 31.07, I = 72
- 2θ 31.86, I = 69
- 2θ 36.76, I = 61

---

For SmNb4Se8, a GGA-PBE-relaxed structure gives the computed XRD peak list in this record (Cu Kα).

Atomic structure:
Cell lengths 8.2019, 8.2019, 8.2019 Å; angles 51.43, 51.43, 51.43 degrees
Sites, in units of the cell vectors:
Sm: 0.0000 0.0000 0.0000
Nb: 0.0000 0.0000 0.5000
Nb: 0.0000 0.5000 0.0000
Nb: 0.5000 0.0000 0.0000
Nb: 0.5000 0.5000 0.5000
Se: 0.2441 0.2441 0.2441
Se: 0.2562 0.7394 0.7394
Se: 0.2606 0.2606 0.7438
Se: 0.2606 0.7438 0.2606
Se: 0.7394 0.2562 0.7394
Se: 0.7394 0.7394 0.2562
Se: 0.7438 0.2606 0.2606
Se: 0.7559 0.7559 0.7559

The 6 most intense peaks (10° ≤ 2θ ≤ 80°), most intense first:
- 2θ 33.60, I = 100
- 2θ 45.00, I = 43
- 2θ 51.35, I = 30
- 2θ 12.47, I = 25
- 2θ 75.69, I = 17
- 2θ 62.78, I = 16

---

For Tb3Pm3Tm4, a GGA-PBE-relaxed structure gives the computed XRD peak list in this record (Cu Kα).

Atomic structure:
Cell lengths 3.6540, 9.4278, 9.4278 Å; angles 89.85, 90.00, 90.00 degrees
Sites, in units of the cell vectors:
Tb: 0.0000 0.0000 0.0000
Tb: 0.5000 0.3222 0.8268
Tb: 0.5000 0.8268 0.3222
Pm: 0.0000 0.1507 0.4998
Pm: 0.0000 0.4998 0.1507
Pm: 0.0000 0.6517 0.6517
Tm: 0.5000 0.2011 0.2011
Tm: 0.5000 0.4493 0.4493
Tm: 0.5000 0.7038 0.9503
Tm: 0.5000 0.9503 0.7038

The 6 most intense peaks (10° ≤ 2θ ≤ 80°), most intense first:
- 2θ 32.42, I = 100
- 2θ 29.97, I = 63
- 2θ 30.96, I = 31
- 2θ 55.72, I = 19
- 2θ 59.33, I = 18
- 2θ 34.29, I = 16